Diffraction record for Li7Pb3. The powder diffractogram is calculated, not measured: it uses a PBE-relaxed structure and Cu Kα (weighted mean of Kα1 and Kα2).
Neutral-atom scattering factors, no anomalous dispersion.

```
data_Li7Pb3
_cell_length_a 14.8345
_cell_length_b 4.7415
_cell_length_c 5.9586
_cell_angle_alpha 90.00
_cell_angle_beta 108.24
_cell_angle_gamma 90.00
_symmetry_space_group_name_H-M 'C 1 2/m 1'
_symmetry_Int_Tables_number 12
_symmetry_space_group_name_Hall '-C 2y'
loop_
_atom_site_label
_atom_site_fract_x
_atom_site_fract_y
_atom_site_fract_z
Li1 0.0000 0.0000 0.0000
Li2 0.1057 0.5000 0.3913
Li3 0.1070 0.5000 0.8760
Li4 0.1996 0.0000 0.7612
Pb1 0.0000 0.0000 0.5000
Pb2 0.1955 0.0000 0.2540
```

Top 10 peaks for 5 to 70 degrees two-theta, by angle:
- 2θ = 19.76°, I = 67, (1 1 0)
- 2θ = 23.03°, I = 41, (2 0 1)
- 2θ = 25.26°, I = 72, (4 0 -1)
- 2θ = 26.53°, I = 100, (1 1 1)
- 2θ = 27.86°, I = 42, (3 1 -1)
- 2θ = 30.13°, I = 27, (2 0 -2)
- 2θ = 36.80°, I = 47, (3 1 -2)
- 2θ = 37.11°, I = 53, (5 1 0)
- 2θ = 46.14°, I = 30, (4 2 -1)
- 2θ = 50.55°, I = 28, (1 1 -3)